1.
Starting from the PBE geometry in the Materials Project, the powder diffraction line list of SbCl3F2 was simulated for Cu Ka.
Peak positions follow from Bragg's law for the DFT cell and can differ from measured ones.

Peak list (10 most intense, 10 to 90 degrees two-theta, most intense first)
2θ (°), intensity
13.66, 100.0
18.81, 44.8
26.92, 43.3
19.09, 42.7
21.05, 29.9
39.40, 29.7
23.99, 28.8
44.05, 20.1
29.95, 17.9
46.64, 15.8

Cell and atoms:
```
data_SbCl3F2
_chemical_formula_sum 'Sb8 Cl24 F16'
_symmetry_space_group_name_H-M 'I 4'
_symmetry_Int_Tables_number 79
_cell_length_a 13.3432
_cell_length_b 13.3432
_cell_length_c 7.4176
_cell_angle_alpha 90.00
_cell_angle_beta 90.00
_cell_angle_gamma 90.00
loop_
_symmetry_equiv_pos_as_xyz
'x,y,z'
'-y,x,z'
'-x,-y,z'
'y,-x,z'
'x+1/2,y+1/2,z+1/2'
'-y+1/2,x+1/2,z+1/2'
'-x+1/2,-y+1/2,z+1/2'
'y+1/2,-x+1/2,z+1/2'
loop_
_atom_site_label
_atom_site_type_symbol
_atom_site_fract_x
_atom_site_fract_y
_atom_site_fract_z
Sb1 Sb 0.0465 0.2193 0.0000
Cl1 Cl 0.0397 0.1930 0.3098
Cl2 Cl 0.0580 0.6418 0.9895
Cl3 Cl 0.2007 0.2987 0.9902
F1 F 0.0413 0.1978 0.7462
F2 F 0.0783 0.8789 0.9899
```



2.
Starting from the PBE geometry in the Materials Project, the powder diffraction line list of As4Pd5Pb was simulated for Cu Ka.
Peak positions follow from Bragg's law for the DFT cell and can differ from measured ones.

Peak list (10 most intense, 10 to 90 degrees two-theta, most intense first)
2θ (°), intensity
30.61, 100.0
41.38, 83.2
46.63, 56.3
41.05, 50.2
41.20, 49.7
46.02, 46.7
41.82, 41.6
46.50, 39.9
42.00, 39.2
31.13, 37.3

Cell and atoms:
```
data_As4Pd5Pb
_chemical_formula_sum 'As8 Pd10 Pb2'
_symmetry_space_group_name_H-M 'P 1'
_symmetry_Int_Tables_number 1
_cell_length_a 6.8161
_cell_length_b 6.8608
_cell_length_c 9.7398
_cell_angle_alpha 74.30
_cell_angle_beta 89.49
_cell_angle_gamma 60.43
loop_
_symmetry_equiv_pos_as_xyz
'x,y,z'
loop_
_atom_site_label
_atom_site_type_symbol
_atom_site_fract_x
_atom_site_fract_y
_atom_site_fract_z
As1 As 0.0000 0.0000 0.0000
As2 As 0.0489 0.2428 0.3196
As3 As 0.1756 0.6391 0.4174
As4 As 0.3545 0.2415 0.8175
As5 As 0.4747 0.4012 0.1093
As6 As 0.6512 0.9936 0.4987
As7 As 0.7685 0.4039 0.6072
As8 As 0.8283 0.6389 0.9199
Pd1 Pd 0.0715 0.6068 0.1756
Pd2 Pd 0.1671 0.2327 0.0615
Pd3 Pd 0.2483 0.2319 0.5610
Pd4 Pd 0.4055 0.8273 0.4600
Pd5 Pd 0.4128 0.8230 0.9574
Pd6 Pd 0.5861 0.3999 0.3673
Pd7 Pd 0.6494 0.4018 0.8644
Pd8 Pd 0.7372 0.0411 0.7383
Pd9 Pd 0.8703 0.0368 0.2382
Pd10 Pd 0.9666 0.5970 0.6780
Pb1 Pb 0.2243 0.8199 0.7116
Pb2 Pb 0.6001 0.8214 0.2105
```



3.
Starting from the PBE geometry in the Materials Project, the powder diffraction line list of Li4TbF8 was simulated for Cu Ka.
Peak positions follow from Bragg's law for the DFT cell and can differ from measured ones.

Peak list (10 most intense, 10 to 90 degrees two-theta, most intense first)
2θ (°), intensity
19.76, 100.0
17.62, 87.2
42.04, 41.1
17.90, 34.9
23.33, 31.7
29.56, 29.3
32.40, 23.3
42.30, 22.8
45.06, 17.2
25.19, 17.1

Cell and atoms:
```
data_Li4TbF8
_chemical_formula_sum 'Li16 Tb4 F32'
_symmetry_space_group_name_H-M 'P n m a'
_symmetry_Int_Tables_number 62
_cell_length_a 10.0747
_cell_length_b 9.9120
_cell_length_c 5.8321
_cell_angle_alpha 90.00
_cell_angle_beta 90.00
_cell_angle_gamma 90.00
loop_
_symmetry_equiv_pos_as_xyz
'x,y,z'
'-x,-y,-z'
'-x+1/2,-y,z+1/2'
'x+1/2,y,-z+1/2'
'x+1/2,-y+1/2,-z+1/2'
'-x+1/2,y+1/2,z+1/2'
'-x,y+1/2,-z'
'x,-y+1/2,z'
loop_
_atom_site_label
_atom_site_type_symbol
_atom_site_fract_x
_atom_site_fract_y
_atom_site_fract_z
Li1 Li 0.1019 0.0786 0.1282
Li2 Li 0.1316 0.0609 0.6167
Tb1 Tb 0.1353 0.7500 0.3658
F1 F 0.0125 0.6108 0.1405
F2 F 0.0185 0.6153 0.6118
F3 F 0.1987 0.2500 0.1243
F4 F 0.1987 0.2500 0.6105
F5 F 0.2334 0.5314 0.3663
```



4.
Starting from the PBE geometry in the Materials Project, the powder diffraction line list of CeMg6Al was simulated for Cu Ka.
Peak positions follow from Bragg's law for the DFT cell and can differ from measured ones.

Peak list (10 most intense, 10 to 90 degrees two-theta, most intense first)
2θ (°), intensity
36.09, 100.0
15.47, 62.5
23.54, 49.4
31.23, 32.7
35.69, 22.2
32.40, 21.6
48.15, 19.3
67.83, 18.9
64.38, 17.7
55.59, 17.5

Cell and atoms:
```
data_CeMg6Al
_chemical_formula_sum 'Ce2 Mg12 Al2'
_symmetry_space_group_name_H-M 'A m m 2'
_symmetry_Int_Tables_number 38
_cell_length_a 5.0313
_cell_length_b 6.6141
_cell_length_c 11.4527
_cell_angle_alpha 90.00
_cell_angle_beta 90.00
_cell_angle_gamma 90.00
loop_
_symmetry_equiv_pos_as_xyz
'x,y,z'
'-x,-y,z'
'-x,y,z'
'x,-y,z'
'x,y+1/2,z+1/2'
'-x,-y+1/2,z+1/2'
'-x,y+1/2,z+1/2'
'x,-y+1/2,z+1/2'
loop_
_atom_site_label
_atom_site_type_symbol
_atom_site_fract_x
_atom_site_fract_y
_atom_site_fract_z
Ce1 Ce 0.0000 0.0000 0.0000
Mg1 Mg 0.0000 0.0000 0.4892
Mg2 Mg 0.0000 0.2418 0.2450
Mg3 Mg 0.5000 0.0000 0.6581
Mg4 Mg 0.5000 0.2421 0.4056
Al1 Al 0.5000 0.0000 0.1563
```



5.
Starting from the PBE geometry in the Materials Project, the powder diffraction line list of Er2PdRh was simulated for Cu Ka.
Peak positions follow from Bragg's law for the DFT cell and can differ from measured ones.

Peak list (8 most intense, 10 to 90 degrees two-theta, most intense first)
2θ (°), intensity
36.93, 100.0
66.54, 35.4
53.22, 17.4
78.61, 11.0
25.88, 5.5
60.10, 2.4
45.65, 1.7
84.42, 1.2

Cell and atoms:
```
data_Er2PdRh
_chemical_formula_sum 'Er8 Pd4 Rh4'
_symmetry_space_group_name_H-M 'F m -3 m'
_symmetry_Int_Tables_number 225
_symmetry_space_group_name_Hall '-F 4 2 3'
_cell_length_a 6.8848
_cell_length_b 6.8848
_cell_length_c 6.8848
_cell_angle_alpha 90.00
_cell_angle_beta 90.00
_cell_angle_gamma 90.00
loop_
_atom_site_label
_atom_site_type_symbol
_atom_site_fract_x
_atom_site_fract_y
_atom_site_fract_z
Er1 Er 0.2500 0.2500 0.2500
Pd1 Pd 0.0000 0.0000 0.0000
Rh1 Rh 0.0000 0.0000 0.5000
```



6.
Starting from the PBE geometry in the Materials Project, the powder diffraction line list of PmNd3 was simulated for Cu Ka.
Peak positions follow from Bragg's law for the DFT cell and can differ from measured ones.

Peak list (8 most intense, 10 to 90 degrees two-theta, most intense first)
2θ (°), intensity
29.72, 100.0
34.45, 50.7
58.82, 43.4
49.52, 36.4
80.39, 17.6
82.93, 16.4
61.72, 12.5
72.64, 5.8

Cell and atoms:
```
data_PmNd3
_chemical_formula_sum 'Pm1 Nd3'
_symmetry_space_group_name_H-M 'P m -3 m'
_symmetry_Int_Tables_number 221
_symmetry_space_group_name_Hall '-P 4 2 3'
_cell_length_a 5.2065
_cell_length_b 5.2065
_cell_length_c 5.2065
_cell_angle_alpha 90.00
_cell_angle_beta 90.00
_cell_angle_gamma 90.00
loop_
_atom_site_label
_atom_site_type_symbol
_atom_site_fract_x
_atom_site_fract_y
_atom_site_fract_z
Pm1 Pm 0.0000 0.0000 0.0000
Nd1 Nd 0.0000 0.5000 0.5000
```



7.
Starting from the PBE geometry in the Materials Project, the powder diffraction line list of CsMg6W was simulated for Cu Ka.
Peak positions follow from Bragg's law for the DFT cell and can differ from measured ones.

Peak list (10 most intense, 10 to 90 degrees two-theta, most intense first)
2θ (°), intensity
33.42, 100.0
27.92, 49.7
17.93, 41.0
18.07, 40.4
25.56, 37.9
21.16, 26.1
36.32, 18.7
36.62, 18.1
12.70, 16.4
46.45, 16.0

Cell and atoms:
```
data_CsMg6W
_chemical_formula_sum 'Cs2 Mg12 W2'
_symmetry_space_group_name_H-M 'A m m 2'
_symmetry_Int_Tables_number 38
_cell_length_a 4.1979
_cell_length_b 9.8953
_cell_length_c 9.8170
_cell_angle_alpha 90.00
_cell_angle_beta 90.00
_cell_angle_gamma 90.00
loop_
_symmetry_equiv_pos_as_xyz
'x,y,z'
'-x,-y,z'
'-x,y,z'
'x,-y,z'
'x,y+1/2,z+1/2'
'-x,-y+1/2,z+1/2'
'-x,y+1/2,z+1/2'
'x,-y+1/2,z+1/2'
loop_
_atom_site_label
_atom_site_type_symbol
_atom_site_fract_x
_atom_site_fract_y
_atom_site_fract_z
Cs1 Cs 0.0000 0.0000 0.0000
Mg1 Mg 0.0000 0.2444 0.2568
Mg2 Mg 0.5000 0.0000 0.2978
Mg3 Mg 0.5000 0.0000 0.7021
Mg4 Mg 0.5000 0.2028 0.5018
W1 W 0.0000 0.0000 0.4966
```